Record 1
Structure and computed powder XRD pattern of Pr2Ga3Cu (a structure optimized by DFT (PBE); CuKα).

Crystal structure
Lattice parameters (Å, degrees): 4.4332 4.4332 7.8911 90.00 90.00 120.00
Space group P3m1 (No. 156)
Symmetry-distinct sites (fractional):
Pr (0.0000, 0.0000, 0.0000) [1 per cell]
Pr (0.0000, 0.0000, 0.4702) [1 per cell]
Ga (0.3333, 0.6667, 0.2245) [1 per cell]
Ga (0.3333, 0.6667, 0.7694) [1 per cell]
Ga (0.6667, 0.3333, 0.7031) [1 per cell]
Cu (0.6667, 0.3333, 0.2504) [1 per cell]

Principal peaks in the range 5° ≤ 2θ ≤ 70°, most intense first:
d (Å)  I/Imax
2.752  100
2.217  51
1.726  25
1.362  22
1.474  20
3.839  13
1.973  9
2.170  5
1.755  4
1.460  3

Record 2
Structure and computed powder XRD pattern of Sc6SiSb2 (a structure optimized by DFT (PBE); CuKα).

Crystal structure
Lattice parameters (Å, degrees): 6.320 6.320 12.771 90.00 90.00 90.00
Space group P4_2/mnm (No. 136)
Symmetry-distinct sites (fractional):
Sc (0.189, 0.189, 0.152) [8 per cell]
Sc (0.211, 0.211, 0.500) [4 per cell]
Si (0.000, 0.000, 0.000) [2 per cell]
Sb (0.000, 0.000, 0.331) [4 per cell]

Principal peaks in the range 5° ≤ 2θ ≤ 70°, most intense first:
d (Å)  I/Imax
4.469  100
2.355  91
3.082  48
1.888  47
3.531  41
2.235  32
2.829  29
2.129  19
1.922  19
5.665  18

Record 3
Structure and computed powder XRD pattern of PmSmHgIr (a structure optimized by DFT (PBE); CuKα).

Crystal structure
Lattice parameters (Å, degrees): 3.680 5.136 5.127 90.00 90.00 90.00
Space group Pmm2 (No. 25)
Symmetry-distinct sites (fractional):
Pm (0.000, 0.000, 0.000) [1 per cell]
Sm (0.000, 0.500, 0.504) [1 per cell]
Hg (0.500, 0.500, 0.007) [1 per cell]
Ir (0.500, 0.000, 0.489) [1 per cell]

Principal peaks in the range 5° ≤ 2θ ≤ 70°, most intense first:
d (Å)  I/Imax
2.584  100
2.566  49
1.485  37
1.495  19
1.814  18
1.840  9
3.629  2
3.680  1
2.105  1
1.641  1

Record 4
Structure and computed powder XRD pattern of GdCdPd (a structure optimized by DFT (PBE); CuKα).

Crystal structure
Lattice parameters (Å, degrees): 4.7272 4.7272 3.5373 90.00 90.00 120.00
Space group P-6m2 (No. 187)
Symmetry-distinct sites (fractional):
Gd (0.0000, 0.0000, 0.0000) [1 per cell]
Cd (0.3333, 0.6667, 0.5000) [1 per cell]
Pd (0.6667, 0.3333, 0.5000) [1 per cell]

Principal peaks in the range 5° ≤ 2θ ≤ 70°, most intense first:
d (Å)  I/Imax
2.677  100
2.364  71
1.417  55
1.771  39
1.365  12
4.094  4
1.965  3
3.537  2
1.624  1
2.047  1

Record 5
Structure and computed powder XRD pattern of La2TbHo3Tm6 (a structure optimized by DFT (PBE); CuKα).

Crystal structure
Lattice parameters (Å, degrees): 6.154 10.651 11.699 90.00 100.07 90.00
Space group C2/m (No. 12)
Symmetry-distinct sites (fractional):
La (0.000, 0.167, 0.000) [4 per cell]
Tb (0.000, 0.500, 0.000) [2 per cell]
Ho (0.000, 0.000, 0.500) [2 per cell]
Ho (0.000, 0.333, 0.500) [4 per cell]
Tm (0.247, 0.500, 0.745) [4 per cell]
Tm (0.248, 0.166, 0.745) [8 per cell]

Principal peaks in the range 5° ≤ 2θ ≤ 70°, most intense first:
d (Å)  I/Imax
2.898  100
2.506  67
2.880  33
1.512  28
1.776  24
1.768  23
1.514  14
1.506  14
1.449  12
1.440  4

Record 6
Structure and computed powder XRD pattern of La5Pb2N (a structure optimized by DFT (PBE); CuKα).

Crystal structure
Lattice parameters (Å, degrees): 9.146 7.113 14.932 90.00 90.00 90.00
Space group Pnma (No. 62)
Symmetry-distinct sites (fractional):
La (0.000, 0.000, 0.000) [4 per cell]
La (0.038, 0.250, 0.204) [4 per cell]
La (0.155, 0.002, 0.619) [8 per cell]
La (0.215, 0.750, 0.397) [4 per cell]
Pb (0.042, 0.750, 0.202) [4 per cell]
Pb (0.182, 0.250, 0.418) [4 per cell]
N (0.190, 0.250, 0.057) [4 per cell]

Principal peaks in the range 5° ≤ 2θ ≤ 70°, most intense first:
d (Å)  I/Imax
2.759  100
3.030  61
2.839  59
2.987  56
2.628  47
2.892  34
1.794  31
1.778  19
2.479  19
1.569  19

Record 7
Structure and computed powder XRD pattern of ScH8Rh2 (a structure optimized by DFT (PBE); CuKα).

Crystal structure
Lattice parameters (Å, degrees): 5.404 9.711 3.495 90.00 90.00 90.00
Space group Cmmm (No. 65)
Symmetry-distinct sites (fractional):
Sc (0.000, 0.000, 0.000) [2 per cell]
H (0.000, 0.220, 0.000) [4 per cell]
H (0.000, 0.500, 0.110) [4 per cell]
H (0.226, 0.370, 0.500) [8 per cell]
Rh (0.000, 0.216, 0.500) [4 per cell]

Principal peaks in the range 5° ≤ 2θ ≤ 70°, most intense first:
d (Å)  I/Imax
2.836  100
4.856  75
1.956  66
2.702  51
4.722  49
2.174  45
3.495  43
1.828  25
2.361  23
2.138  20